(1)
# BeTc3
Theoretical powder diffractogram, Cu Kα X-rays. Input: DFT lattice parameters and positions (PBE).

The 6 most intense peaks (2θ = 15–90°), sorted by position:
| hkl | d [Å] | Position (°2θ) | intensity |
| --- | --- | --- | --- |
| 1 0 0 | 3.002 | 29.76 | 15 |
| 1 0 1 | 2.666 | 33.62 | 44 |
| 1 1 0 | 2.123 | 42.59 | 59 |
| 1 0 2 | 2.085 | 43.39 | 100 |
| 2 0 0 | 1.501 | 61.81 | 19 |
| 2 1 2 | 1.218 | 78.52 | 33 |

Crystal structure
Cell: 3.0019 3.0019 5.7987 Å, 90.00 90.00 90.00°
Space group P4/mmm (No. 123)
Inequivalent atoms, fractional coordinates:
Be1 0.0000 0.0000 0.0000 (multiplicity 1)
Tc1 0.0000 0.0000 0.5000 (multiplicity 1)
Tc2 0.5000 0.5000 0.2178 (multiplicity 2)

---

(2)
# MnGe3C
Theoretical powder diffractogram, Cu Kα X-rays. Input: DFT lattice parameters and positions (PBE).

The 6 most intense peaks (2θ = 15–90°), sorted by position:
| hkl | d [Å] | Position (°2θ) | intensity |
| --- | --- | --- | --- |
| 1 0 0 | 4.533 | 19.58 | 100 |
| 1 1 1 | 2.617 | 34.27 | 73 |
| 2 0 0 | 2.266 | 39.77 | 95 |
| 2 1 0 | 2.027 | 44.71 | 46 |
| 2 2 0 | 1.603 | 57.51 | 61 |
| 3 1 1 | 1.367 | 68.68 | 28 |

Crystal structure
Cell: 4.5327 4.5327 4.5327 Å, 90.00 90.00 90.00°
Space group Pm-3m (No. 221)
Inequivalent atoms, fractional coordinates:
Mn1 0.0000 0.0000 0.0000 (multiplicity 1)
Ge1 0.0000 0.0000 0.5000 (multiplicity 3)
C1 0.5000 0.5000 0.5000 (multiplicity 1)

---

(3)
# CaAg2Ge
Theoretical powder diffractogram, Cu Kα X-rays. Input: DFT lattice parameters and positions (PBE).

The 6 most intense peaks (2θ = 15–90°), sorted by position:
| hkl | d [Å] | Position (°2θ) | intensity |
| --- | --- | --- | --- |
| 0 1 1 | 4.185 | 21.23 | 59 |
| 1 2 0 | 2.723 | 32.89 | 100 |
| 1 1 1 | 2.578 | 34.79 | 70 |
| 1 1 -2 | 2.562 | 35.02 | 54 |
| 2 0 -1 | 2.299 | 39.18 | 67 |
| 1 3 -1 | 2.074 | 43.64 | 70 |

Crystal structure
Cell: 4.5985 7.1548 5.6325 Å, 90.00 113.67 90.00°
Space group P2_1 (No. 4)
Inequivalent atoms, fractional coordinates:
Ca1 0.0888 0.0000 0.1749 (multiplicity 2)
Ag1 0.2082 0.4736 0.4181 (multiplicity 2)
Ag2 0.3930 0.1696 0.7856 (multiplicity 2)
Ge1 0.3621 0.7913 0.7241 (multiplicity 2)

---

(4)
# Sm15Er4Sc
Theoretical powder diffractogram, Cu Kα X-rays. Input: DFT lattice parameters and positions (PBE).

The 6 most intense peaks (2θ = 15–90°), sorted by position:
| hkl | d [Å] | Position (°2θ) | intensity |
| --- | --- | --- | --- |
| 1 1 5 | 2.927 | 30.54 | 100 |
| 2 0 0 | 2.538 | 35.37 | 34 |
| 0 0 10 | 2.529 | 35.49 | 17 |
| 2 2 0 | 1.792 | 50.95 | 36 |
| 3 1 5 | 1.530 | 60.52 | 29 |
| 1 1 15 | 1.526 | 60.68 | 14 |

Crystal structure
Cell: 5.0754 5.0754 25.2921 Å, 90.00 90.00 90.00°
Space group P4/mmm (No. 123)
Inequivalent atoms, fractional coordinates:
Sm1 0.0000 0.0000 0.0000 (multiplicity 1)
Sm2 0.0000 0.0000 0.1981 (multiplicity 2)
Sm3 0.0000 0.0000 0.3995 (multiplicity 2)
Sm4 0.0000 0.5000 0.0974 (multiplicity 4)
Sm5 0.0000 0.5000 0.2988 (multiplicity 4)
Sm6 0.0000 0.5000 0.5000 (multiplicity 2)
Er1 0.5000 0.5000 0.1983 (multiplicity 2)
Er2 0.5000 0.5000 0.3995 (multiplicity 2)
Sc1 0.5000 0.5000 0.0000 (multiplicity 1)